Theoretical X-ray diffraction stick pattern of Pr8ZnSe4S3 for a wavelength of 1.5418 Å, from the GGA-PBE geometry in Alexandria.

The 10 most intense peaks (10° ≤ 2θ ≤ 90°), by angle:
(0 0 6), d 3.481, I 7; (2 0 2), d 3.427, I 22; (0 2 4), d 2.979, I 100; (2 0 8), d 2.119, I 37; (2 2 0), d 2.095, I 37; (4 0 4), d 1.714, I 19; (0 4 8), d 1.490, I 12; (2 2 12), d 1.339, I 16; (2 4 4), d 1.326, I 16; (4 2 8), d 1.214, I 12

Cell: 8.3784 8.3784 20.8857 Å, 90.00 90.00 120.00°
Space group R-3m (No. 166, hexagonal axes)
One atom of each set of equivalent atoms:
Pr  0.0000  0.0000  0.2436 [6 per cell]
Pr  0.0047  0.5024  0.7536 [18 per cell]
Zn  0.0000  0.0000  0.5000 [3 per cell]
Se  0.0000  0.0000  0.0000 [3 per cell]
Se  0.0000  0.5000  0.0000 [9 per cell]
S  0.0000  0.5000  0.5000 [9 per cell]

=====

Theoretical X-ray diffraction stick pattern of PrSm3S4 for a wavelength of 1.5418 Å, from the GGA-PBE geometry in Alexandria.

The 10 most intense peaks (10° ≤ 2θ ≤ 90°), by angle:
(1 1 1), d 3.295, I 76; (2 0 0), d 2.853, I 100; (2 2 0), d 2.018, I 72; (3 1 1), d 1.721, I 38; (2 2 2), d 1.647, I 25; (4 0 0), d 1.427, I 12; (3 3 1), d 1.309, I 15; (4 2 0), d 1.276, I 32; (4 2 2), d 1.165, I 24; (5 1 1), d 1.098, I 12

Cell: 5.707 5.707 5.707 Å, 90.00 90.00 90.00°
Space group Pm-3m (No. 221)
One atom of each set of equivalent atoms:
Pr  0.000  0.000  0.000 [1 per cell]
Sm  0.000  0.500  0.500 [3 per cell]
S  0.000  0.000  0.500 [3 per cell]
S  0.500  0.500  0.500 [1 per cell]

=====

Theoretical X-ray diffraction stick pattern of PrSm4Th3S8 for a wavelength of 1.5418 Å, from the GGA-PBE geometry in Alexandria.

The 10 most intense peaks (10° ≤ 2θ ≤ 90°), by angle:
(0 0 6), d 3.330, I 23; (2 0 2), d 3.278, I 66; (0 2 4), d 2.850, I 100; (2 0 8), d 2.027, I 37; (2 2 0), d 2.004, I 36; (2 2 6), d 1.717, I 22; (4 0 4), d 1.639, I 19; (2 2 12), d 1.280, I 17; (2 4 4), d 1.269, I 16; (4 2 8), d 1.161, I 13

Cell: 8.0143 8.0143 19.9787 Å, 90.00 90.00 120.00°
Space group R-3m (No. 166, hexagonal axes)
One atom of each set of equivalent atoms:
Pr  0.0000  0.0000  0.0000 [3 per cell]
Sm  0.0000  0.0000  0.5000 [3 per cell]
Sm  0.0000  0.5000  0.5000 [9 per cell]
Th  0.0000  0.5000  0.0000 [9 per cell]
S  0.0000  0.0000  0.2482 [6 per cell]
S  0.0020  0.5010  0.2481 [18 per cell]

=====

Theoretical X-ray diffraction stick pattern of PrSmTl2S4 for a wavelength of 1.5418 Å, from the GGA-PBE geometry in Alexandria.

The 10 most intense peaks (10° ≤ 2θ ≤ 90°), by angle:
(0 0 2), d 3.749, I 28; (2 0 0), d 3.440, I 63; (1 1 1), d 3.040, I 100; (2 0 2), d 2.219, I 38; (0 2 0), d 2.086, I 35; (1 1 3), d 1.910, I 15; (3 1 1), d 1.823, I 24; (4 0 0), d 1.720, I 19; (3 1 3), d 1.394, I 16; (4 2 0), d 1.327, I 16

Cell: 7.227 4.172 7.876 Å, 90.00 107.79 90.00°
Space group P2/m (No. 10)
One atom of each set of equivalent atoms:
Pr  0.000  0.000  0.000 [1 per cell]
Sm  0.500  0.500  0.000 [1 per cell]
Tl  0.000  0.500  0.500 [1 per cell]
Tl  0.500  0.000  0.500 [1 per cell]
S  0.239  0.500  0.205 [2 per cell]
S  0.270  0.000  0.797 [2 per cell]

=====

Theoretical X-ray diffraction stick pattern of Pr6SnS8 for a wavelength of 1.5418 Å, from the GGA-PBE geometry in Alexandria.

The 10 most intense peaks (10° ≤ 2θ ≤ 90°), by angle:
(2 2 2), d 3.349, I 61; (4 0 0), d 2.900, I 100; (4 4 0), d 2.051, I 73; (6 2 2), d 1.749, I 31; (4 4 4), d 1.674, I 25; (8 0 0), d 1.450, I 12; (6 6 2), d 1.331, I 13; (8 4 0), d 1.297, I 32; (8 4 4), d 1.184, I 24; (10 2 2), d 1.116, I 10

Cell: 11.600 11.600 11.600 Å, 90.00 90.00 90.00°
Space group Fm-3m (No. 225)
One atom of each set of equivalent atoms:
Pr  0.000  0.250  0.250 [24 per cell]
Sn  0.000  0.000  0.000 [4 per cell]
S  0.000  0.000  0.248 [24 per cell]
S  0.250  0.250  0.250 [8 per cell]

=====

Theoretical X-ray diffraction stick pattern of PrSnS for a wavelength of 1.5418 Å, from the GGA-PBE geometry in Alexandria.

The 10 most intense peaks (10° ≤ 2θ ≤ 90°), by angle:
(1 0 1), d 4.010, I 26; (1 0 3), d 3.426, I 50; (0 0 6), d 3.107, I 65; (1 1 2), d 2.772, I 100; (1 1 4), d 2.464, I 85; (1 0 7), d 2.235, I 21; (2 0 0), d 2.053, I 46; (2 0 6), d 1.713, I 46; (1 1 10), d 1.569, I 24; (3 1 4), d 1.251, I 21

Cell: 4.106 4.106 18.645 Å, 90.00 90.00 90.00°
Space group I4/mmm (No. 139)
One atom of each set of equivalent atoms:
Pr  0.000  0.000  0.158 [4 per cell]
Sn  0.000  0.500  0.000 [4 per cell]
S  0.000  0.000  0.313 [4 per cell]

=====

Theoretical X-ray diffraction stick pattern of Pr7SnS5 for a wavelength of 1.5418 Å, from the GGA-PBE geometry in Alexandria.

The 10 most intense peaks (10° ≤ 2θ ≤ 90°), by angle:
(1 1 4), d 3.354, I 60; (0 2 7), d 3.112, I 100; (1 1 5), d 3.105, I 32; (1 3 2), d 2.979, I 94; (1 3 3), d 2.875, I 65; (1 1 9), d 2.254, I 20; (2 0 0), d 2.099, I 34; (1 1 10), d 2.093, I 20; (1 5 5), d 2.062, I 28; (2 2 7), d 1.740, I 37

Cell: 4.199 13.510 24.536 Å, 90.00 90.00 90.00°
Space group Cmcm (No. 63)
One atom of each set of equivalent atoms:
Pr  0.000  0.026  0.250 [4 per cell]
Pr  0.000  0.136  0.536 [8 per cell]
Pr  0.000  0.324  0.173 [8 per cell]
Pr  0.000  0.406  0.610 [8 per cell]
Sn  0.000  0.299  0.750 [4 per cell]
S  0.000  0.042  0.641 [8 per cell]
S  0.000  0.228  0.070 [8 per cell]
S  0.000  0.500  0.000 [4 per cell]

=====

Theoretical X-ray diffraction stick pattern of SrPr3S4 for a wavelength of 1.5418 Å, from the GGA-PBE geometry in Alexandria.

The 10 most intense peaks (10° ≤ 2θ ≤ 90°), by angle:
(1 1 1), d 3.377, I 65; (2 0 0), d 2.924, I 100; (2 2 0), d 2.068, I 72; (3 1 1), d 1.764, I 33; (2 2 2), d 1.688, I 25; (4 0 0), d 1.462, I 12; (3 3 1), d 1.342, I 13; (4 2 0), d 1.308, I 32; (4 2 2), d 1.194, I 24; (5 1 1), d 1.126, I 10

Cell: 5.849 5.849 5.849 Å, 90.00 90.00 90.00°
Space group Pm-3m (No. 221)
One atom of each set of equivalent atoms:
Sr  0.000  0.000  0.000 [1 per cell]
Pr  0.000  0.500  0.500 [3 per cell]
S  0.000  0.000  0.500 [3 per cell]
S  0.500  0.500  0.500 [1 per cell]

=====

Theoretical X-ray diffraction stick pattern of SrPr3S4 for a wavelength of 1.5418 Å, from the GGA-PBE geometry in Alexandria.

The 10 most intense peaks (10° ≤ 2θ ≤ 90°), by angle:
(2 2 0), d 3.393, I 33; (0 2 1), d 3.366, I 32; (2 0 1), d 2.926, I 100; (4 0 0), d 2.082, I 12; (2 4 1), d 2.069, I 48; (0 0 2), d 2.057, I 12; (2 2 2), d 1.760, I 16; (4 4 0), d 1.696, I 13; (0 4 2), d 1.683, I 12; (4 4 2), d 1.309, I 21

Cell: 8.329 11.701 4.115 Å, 90.00 90.00 90.00°
Space group Cmmm (No. 65)
One atom of each set of equivalent atoms:
Sr  0.000  0.000  0.000 [2 per cell]
Pr  0.000  0.500  0.000 [2 per cell]
Pr  0.250  0.250  0.500 [4 per cell]
S  0.000  0.251  0.000 [4 per cell]
S  0.247  0.500  0.500 [4 per cell]

=====

Theoretical X-ray diffraction stick pattern of Pr5Ta2S12 for a wavelength of 1.5418 Å, from the GGA-PBE geometry in Alexandria.

The 10 most intense peaks (10° ≤ 2θ ≤ 90°), by angle:
(0 0 1), d 8.683, I 31; (2 0 -2), d 4.350, I 33; (3 1 0), d 4.078, I 98; (1 1 -2), d 3.833, I 100; (0 2 1), d 3.296, I 30; (0 2 2), d 2.755, I 81; (6 0 0), d 2.486, I 40; (2 0 -4), d 2.273, I 41; (6 2 -2), d 2.047, I 29; (4 2 2), d 2.040, I 35

Cell: 15.624 7.124 9.094 Å, 90.00 107.30 90.00°
Space group C2/m (No. 12)
One atom of each set of equivalent atoms:
Pr  0.000  0.000  0.000 [2 per cell]
Pr  0.187  0.500  0.332 [4 per cell]
Pr  0.201  0.500  0.856 [4 per cell]
Ta  0.000  0.242  0.500 [4 per cell]
S  0.001  0.000  0.312 [4 per cell]
S  0.003  0.500  0.695 [4 per cell]
S  0.150  0.252  0.071 [8 per cell]
S  0.164  0.254  0.582 [8 per cell]

=====

Theoretical X-ray diffraction stick pattern of TbPr4S5 for a wavelength of 1.5418 Å, from the GGA-PBE geometry in Alexandria.

The 10 most intense peaks (10° ≤ 2θ ≤ 90°), by angle:
(1 0 5), d 3.325, I 74; (1 1 0), d 2.880, I 100; (2 0 0), d 2.036, I 72; (1 0 15), d 1.739, I 12; (2 1 5), d 1.736, I 25; (2 0 10), d 1.663, I 25; (3 0 5), d 1.321, I 15; (1 1 20), d 1.289, I 10; (3 1 0), d 1.287, I 21; (3 1 10), d 1.175, I 16

Cell: 4.069 4.069 28.848 Å, 90.00 90.00 90.00°
Space group I4/mmm (No. 139)
One atom of each set of equivalent atoms:
Tb  0.000  0.000  0.000 [2 per cell]
Pr  0.000  0.000  0.197 [4 per cell]
Pr  0.000  0.000  0.399 [4 per cell]
S  0.000  0.000  0.096 [4 per cell]
S  0.000  0.000  0.298 [4 per cell]
S  0.000  0.000  0.500 [2 per cell]

=====

Theoretical X-ray diffraction stick pattern of Tb2Pr3S8 for a wavelength of 1.5418 Å, from the GGA-PBE geometry in Alexandria.

The 10 most intense peaks (10° ≤ 2θ ≤ 90°), by angle:
(2 0 -1), d 5.747, I 43; (1 1 1), d 4.338, I 100; (3 1 -1), d 3.897, I 81; (2 2 0), d 3.467, I 98; (2 2 -1), d 3.336, I 50; (4 2 -1), d 2.646, I 84; (2 0 2), d 2.557, I 38; (6 0 -2), d 2.215, I 35; (4 2 1), d 2.178, I 69; (2 2 -3), d 2.011, I 64

Cell: 14.030 8.192 6.929 Å, 90.00 111.07 90.00°
Space group C2/m (No. 12)
One atom of each set of equivalent atoms:
Tb  0.237  0.000  0.154 [4 per cell]
Pr  0.000  0.236  0.500 [4 per cell]
Pr  0.000  0.500  0.000 [2 per cell]
S  0.116  0.000  0.384 [4 per cell]
S  0.121  0.500  0.441 [4 per cell]
S  0.130  0.268  0.919 [8 per cell]

=====

> Number 4 is which compound?

PrSmTl2S4